Record 1
The following is a theoretical XRD peak list of LaTb3Er2. It was derived from DFT lattice parameters and positions (PBE), using Cu Kα (λ = 1.5418 Å).

Crystal structure
```
data_LaTb3Er2
_space_group_name_H-M_alt 'C m c m'
_space_group_IT_number 63
_space_group_name_Hall '-C 2c 2'
_cell_length_a 3.5944
_cell_length_b 18.6402
_cell_length_c 11.6023
_cell_angle_alpha 90.00
_cell_angle_beta 90.00
_cell_angle_gamma 90.00
loop_
_atom_site_label
_atom_site_fract_x
_atom_site_fract_y
_atom_site_fract_z
La1 0.0000 0.2201 0.2500
Tb1 0.0000 0.1077 0.7500
Tb2 0.0000 0.3355 0.0032
Er1 0.0000 0.0000 0.0000
Er2 0.0000 0.4467 0.7500
```

Principal peaks in the range 10° ≤ 2θ ≤ 80°, in order of rising 2θ:
2θ/deg  I_rel
28.71  9
29.74  40
30.83  34
32.67  100
37.10  22
42.62  6
48.98  10
50.86  25
56.00  22
60.03  5
60.66  30
61.77  16

Record 2
The following is a theoretical XRD peak list of LaTb3Er6. It was derived from DFT lattice parameters and positions (PBE), using Cu Kα (λ = 1.5418 Å).

Crystal structure
```
data_LaTb3Er6
_space_group_name_H-M_alt 'C m c 21'
_space_group_IT_number 36
_cell_length_a 9.4404
_cell_length_b 15.3170
_cell_length_c 8.9092
_cell_angle_alpha 90.00
_cell_angle_beta 90.00
_cell_angle_gamma 90.00
loop_
_space_group_symop_operation_xyz
'x,y,z'
'-x,-y,z+1/2'
'-x,y,z'
'x,-y,z+1/2'
'x+1/2,y+1/2,z'
'-x+1/2,-y+1/2,z+1/2'
'-x+1/2,y+1/2,z'
'x+1/2,-y+1/2,z+1/2'
loop_
_atom_site_label
_atom_site_fract_x
_atom_site_fract_y
_atom_site_fract_z
La1 0.0000 0.2248 0.0000
Tb1 0.0000 0.4532 0.9085
Tb2 0.1716 0.1419 0.4259
Er1 0.0000 0.0524 0.7781
Er2 0.0000 0.2887 0.6351
Er3 0.1774 0.3507 0.2656
Er4 0.2449 0.0594 0.0948
```

Principal peaks in the range 10° ≤ 2θ ≤ 80°, in order of rising 2θ:
2θ/deg  I_rel
28.22  35
29.95  55
30.05  23
30.69  52
31.72  60
32.33  100
35.41  22
36.62  14
50.56  15
55.16  18
55.83  16
58.34  14